This entry pairs a crystal structure of Ac8PmPr4 with its simulated powder diffraction line list. Radiation: λ = 1.5418 Å (Cu Kα). Structure: a structure optimized by DFT (GGA-PBE).

Atomic structure:
a = 6.7129 Å, b = 6.7129 Å, c = 15.9590 Å
α = 93.83°, β = 93.83°, γ = 48.62°
Element x y z (fractional)
Ac1 0.0000 0.0000 0.0000
Ac2 0.0742 0.0742 0.7650
Ac3 0.2244 0.2244 0.3047
Ac4 0.3079 0.3079 0.0759
Ac5 0.4572 0.4572 0.6155
Ac6 0.5323 0.5323 0.3807
Ac7 0.6902 0.6902 0.9184
Ac8 0.8418 0.8418 0.4622
Pm1 0.7657 0.7657 0.6902
Pr1 0.1512 0.1512 0.5382
Pr2 0.3804 0.3804 0.8424
Pr3 0.6148 0.6148 0.1529
Pr4 0.9178 0.9178 0.2278

Peak list (6 most intense, 2θ = 10–80°, by angle)
2theta	I (rel.)
28.15	100
32.40	17
32.67	17
32.77	17
46.71	26
55.57	15